[1]
# CaAlHgPb
Theoretical powder X-ray diffraction pattern, Cu Kα, 1.54184 Å. Input: a cell relaxed with GGA-PBE.
Intensities are scaled so that the largest is 1000.

Largest 6 diffraction maxima, low angle first, 5 to 70 degrees two-theta:
2theta, d (Å), Rel. int., h k l
24.0, 3.711, 593, 2 0 0
34.2, 2.624, 1000, 2 2 0
42.2, 2.143, 191, 2 2 2
49.1, 1.856, 181, 4 0 0
55.4, 1.660, 266, 4 2 0
61.2, 1.515, 377, 4 2 2

Atomic structure:
```
data_CaAlHgPb
_chemical_formula_sum 'Ca4 Al4 Hg4 Pb4'
_cell_length_a 7.4230
_cell_length_b 7.4230
_cell_length_c 7.4230
_cell_angle_alpha 90.00
_cell_angle_beta 90.00
_cell_angle_gamma 90.00
_symmetry_space_group_name_H-M 'F -4 3 m'
_symmetry_Int_Tables_number 216
_symmetry_space_group_name_Hall 'F -4 2 3'
loop_
_atom_site_label
_atom_site_fract_x
_atom_site_fract_y
_atom_site_fract_z
Ca1 0.0000 0.0000 0.0000
Al1 0.0000 0.0000 0.5000
Hg1 0.2500 0.2500 0.7500
Pb1 0.2500 0.2500 0.2500
```


[2]
# CaPmAlHg
Theoretical powder X-ray diffraction pattern, Cu Kα, 1.54184 Å. Input: a cell relaxed with GGA-PBE.
Intensities are scaled so that the largest is 1000.

Largest 10 diffraction maxima, low angle first, 5 to 70 degrees two-theta:
2theta, d (Å), Rel. int., h k l
11.3, 7.811, 617, 0 0 1
26.8, 3.330, 456, 1 0 1
33.5, 2.679, 1000, 1 0 2
34.5, 2.603, 537, 1 1 0
36.4, 2.469, 171, 1 1 1
46.5, 1.953, 98, 0 0 4
49.5, 1.841, 273, 2 0 0
57.2, 1.611, 118, 2 1 1
59.1, 1.562, 197, 1 1 4
61.1, 1.517, 351, 2 1 2

Atomic structure:
```
data_CaPmAlHg
_chemical_formula_sum 'Ca1 Pm1 Al1 Hg1'
_cell_length_a 3.6809
_cell_length_b 3.6809
_cell_length_c 7.8107
_cell_angle_alpha 90.00
_cell_angle_beta 90.00
_cell_angle_gamma 90.00
_symmetry_space_group_name_H-M 'P 4 m m'
_symmetry_Int_Tables_number 99
loop_
_symmetry_equiv_pos_as_xyz
'x,y,z'
'-y,x,z'
'-x,-y,z'
'y,-x,z'
'-x,y,z'
'y,x,z'
'x,-y,z'
'-y,-x,z'
loop_
_atom_site_label
_atom_site_fract_x
_atom_site_fract_y
_atom_site_fract_z
Ca1 0.0000 0.0000 0.0000
Pm1 0.0000 0.0000 0.4880
Al1 0.5000 0.5000 0.2480
Hg1 0.5000 0.5000 0.7514
```


[3]
# CaTbAlHg
Theoretical powder X-ray diffraction pattern, Cu Kα, 1.54184 Å. Input: a cell relaxed with GGA-PBE.
Intensities are scaled so that the largest is 1000.

Largest 10 diffraction maxima, low angle first, 5 to 70 degrees two-theta:
2theta, d (Å), Rel. int., h k l
11.5, 7.728, 678, 0 0 1
27.1, 3.292, 428, 1 0 1
33.8, 2.649, 1000, 1 0 2
34.9, 2.573, 524, 1 1 0
36.8, 2.441, 185, 1 1 1
43.0, 2.103, 116, 1 0 3
50.1, 1.820, 254, 2 0 0
57.9, 1.592, 110, 2 1 1
59.9, 1.545, 202, 1 1 4
61.9, 1.500, 349, 2 1 2

Atomic structure:
```
data_CaTbAlHg
_chemical_formula_sum 'Ca1 Tb1 Al1 Hg1'
_cell_length_a 3.6388
_cell_length_b 3.6388
_cell_length_c 7.7281
_cell_angle_alpha 90.00
_cell_angle_beta 90.00
_cell_angle_gamma 90.00
_symmetry_space_group_name_H-M 'P 4 m m'
_symmetry_Int_Tables_number 99
loop_
_symmetry_equiv_pos_as_xyz
'x,y,z'
'-y,x,z'
'-x,-y,z'
'y,-x,z'
'-x,y,z'
'y,x,z'
'x,-y,z'
'-y,-x,z'
loop_
_atom_site_label
_atom_site_fract_x
_atom_site_fract_y
_atom_site_fract_z
Ca1 0.0000 0.0000 0.0000
Tb1 0.0000 0.0000 0.4886
Al1 0.5000 0.5000 0.2548
Hg1 0.5000 0.5000 0.7417
```


[4]
# CaAlI6
Theoretical powder X-ray diffraction pattern, Cu Kα, 1.54184 Å. Input: a cell relaxed with GGA-PBE.
Intensities are scaled so that the largest is 1000.

Largest 10 diffraction maxima, low angle first, 5 to 70 degrees two-theta:
2theta, d (Å), Rel. int., h k l
12.6, 7.007, 397, 0 2 0
23.0, 3.868, 195, 1 3 0
24.0, 3.707, 1000, 1 3 -1
25.3, 3.517, 432, 0 0 2
25.8, 3.455, 312, 2 0 0
28.4, 3.142, 846, 1 3 1
29.3, 3.050, 406, 2 0 -2
32.6, 2.747, 214, 2 0 1
38.5, 2.336, 272, 0 6 0
41.0, 2.204, 253, 1 3 -3

Atomic structure:
```
data_CaAlI6
_chemical_formula_sum 'Ca2 Al2 I12'
_cell_length_a 7.3680
_cell_length_b 14.0044
_cell_length_c 7.4989
_cell_angle_alpha 90.00
_cell_angle_beta 110.29
_cell_angle_gamma 90.00
_symmetry_space_group_name_H-M 'C 1 2/m 1'
_symmetry_Int_Tables_number 12
loop_
_symmetry_equiv_pos_as_xyz
'x,y,z'
'-x,-y,-z'
'-x,y,-z'
'x,-y,z'
'x+1/2,y+1/2,z'
'-x+1/2,-y+1/2,-z'
'-x+1/2,y+1/2,-z'
'x+1/2,-y+1/2,z'
loop_
_atom_site_label
_atom_site_fract_x
_atom_site_fract_y
_atom_site_fract_z
Ca1 0.0000 0.0000 0.0000
Al1 0.0000 0.5000 0.5000
I1 0.1907 0.3596 0.7481
I2 0.2047 0.0000 0.6782
```


[5]
# Ca2AlIn
Theoretical powder X-ray diffraction pattern, Cu Kα, 1.54184 Å. Input: a cell relaxed with GGA-PBE.
Intensities are scaled so that the largest is 1000.

Largest 10 diffraction maxima, low angle first, 5 to 70 degrees two-theta:
2theta, d (Å), Rel. int., h k l
14.6, 6.082, 509, 0 0 1
18.6, 4.764, 273, 0 1 0
23.8, 3.745, 324, 1 0 0
30.4, 2.940, 1000, 1 1 -1
31.7, 2.825, 208, 1 0 1
31.8, 2.816, 205, 1 0 -2
35.0, 2.563, 561, 0 1 2
37.0, 2.427, 646, 1 1 1
37.8, 2.382, 302, 0 2 0
50.1, 1.820, 214, 1 2 1

Atomic structure:
```
data_Ca2AlIn
_chemical_formula_sum 'Ca2 Al1 In1'
_cell_length_a 3.9253
_cell_length_b 4.7642
_cell_length_c 6.3846
_cell_angle_alpha 90.00
_cell_angle_beta 107.71
_cell_angle_gamma 90.00
_symmetry_space_group_name_H-M 'P 1 m 1'
_symmetry_Int_Tables_number 6
loop_
_symmetry_equiv_pos_as_xyz
'x,y,z'
'x,-y,z'
loop_
_atom_site_label
_atom_site_fract_x
_atom_site_fract_y
_atom_site_fract_z
Ca1 0.0000 0.0000 0.0000
Ca2 0.3035 0.5000 0.6129
Al1 0.7228 0.0000 0.4494
In1 0.5837 0.5000 0.1695
```


[6]
# Ca2AlIn8
Theoretical powder X-ray diffraction pattern, Cu Kα, 1.54184 Å. Input: a cell relaxed with GGA-PBE.
Intensities are scaled so that the largest is 1000.

Largest 10 diffraction maxima, low angle first, 5 to 70 degrees two-theta:
2theta, d (Å), Rel. int., h k l
25.7, 3.467, 155, 1 1 0
29.7, 3.006, 276, 1 1 2
34.1, 2.627, 1000, 1 1 3
36.7, 2.451, 534, 2 0 0
37.2, 2.415, 136, 0 0 5
52.8, 1.733, 180, 2 2 0
53.2, 1.720, 187, 2 0 5
64.4, 1.447, 297, 3 1 3
66.4, 1.408, 94, 2 2 5
67.7, 1.384, 140, 1 1 8

Atomic structure:
```
data_Ca2AlIn8
_chemical_formula_sum 'Ca2 Al1 In8'
_cell_length_a 4.9030
_cell_length_b 4.9030
_cell_length_c 12.0747
_cell_angle_alpha 90.00
_cell_angle_beta 90.00
_cell_angle_gamma 90.00
_symmetry_space_group_name_H-M 'P 4/m m m'
_symmetry_Int_Tables_number 123
_symmetry_space_group_name_Hall '-P 4 2'
loop_
_atom_site_label
_atom_site_fract_x
_atom_site_fract_y
_atom_site_fract_z
Ca1 0.0000 0.0000 0.1890
Al1 0.0000 0.0000 0.5000
In1 0.0000 0.5000 0.0000
In2 0.0000 0.5000 0.3682
In3 0.5000 0.5000 0.1914
```


[7]
# Ca2Al3InPt4
Theoretical powder X-ray diffraction pattern, Cu Kα, 1.54184 Å. Input: a cell relaxed with GGA-PBE.
Intensities are scaled so that the largest is 1000.

Largest 10 diffraction maxima, low angle first, 5 to 70 degrees two-theta:
2theta, d (Å), Rel. int., h k l
17.2, 5.159, 320, 0 0 2
22.0, 4.046, 424, 1 0 1
25.9, 3.439, 282, 0 0 3
26.6, 3.347, 427, 1 0 2
30.0, 2.977, 493, 1 1 1
33.7, 2.663, 1000, 1 1 2
41.0, 2.199, 647, 2 0 0
45.7, 1.985, 611, 1 1 4
49.2, 1.853, 210, 2 0 3
59.4, 1.555, 217, 2 2 0

Atomic structure:
```
data_Ca2Al3InPt4
_chemical_formula_sum 'Ca2 Al3 In1 Pt4'
_cell_length_a 4.3978
_cell_length_b 4.3978
_cell_length_c 10.3171
_cell_angle_alpha 90.00
_cell_angle_beta 90.00
_cell_angle_gamma 90.00
_symmetry_space_group_name_H-M 'P -4 m 2'
_symmetry_Int_Tables_number 115
loop_
_symmetry_equiv_pos_as_xyz
'x,y,z'
'y,-x,-z'
'-x,-y,z'
'-y,x,-z'
'-x,y,z'
'-y,-x,-z'
'x,-y,z'
'y,x,-z'
loop_
_atom_site_label
_atom_site_fract_x
_atom_site_fract_y
_atom_site_fract_z
Ca1 0.0000 0.5000 0.2380
Al1 0.0000 0.5000 0.8819
Al2 0.5000 0.5000 0.5000
In1 0.0000 0.0000 0.5000
Pt1 0.0000 0.0000 0.0000
Pt2 0.0000 0.5000 0.6450
Pt3 0.5000 0.5000 0.0000
```


[8]
# Ca2Al3Ir
Theoretical powder X-ray diffraction pattern, Cu Kα, 1.54184 Å. Input: a cell relaxed with GGA-PBE.
Intensities are scaled so that the largest is 1000.

Largest 10 diffraction maxima, low angle first, 5 to 70 degrees two-theta:
2theta, d (Å), Rel. int., h k l
19.7, 4.508, 1000, 1 1 0
20.0, 4.442, 379, 2 0 -1
22.9, 3.890, 721, 2 0 0
32.4, 2.766, 743, 1 1 1
38.3, 2.350, 799, 3 1 0
38.4, 2.345, 397, 2 2 -1
38.7, 2.329, 551, 4 0 -1
40.0, 2.251, 325, 2 2 0
61.8, 1.500, 187, 3 3 0
62.0, 1.497, 181, 5 1 0

Atomic structure:
```
data_Ca2Al3Ir
_chemical_formula_sum 'Ca4 Al6 Ir2'
_cell_length_a 9.4352
_cell_length_b 5.5219
_cell_length_c 5.4816
_cell_angle_alpha 90.00
_cell_angle_beta 124.47
_cell_angle_gamma 90.00
_symmetry_space_group_name_H-M 'C 1 2/m 1'
_symmetry_Int_Tables_number 12
loop_
_symmetry_equiv_pos_as_xyz
'x,y,z'
'-x,-y,-z'
'-x,y,-z'
'x,-y,z'
'x+1/2,y+1/2,z'
'-x+1/2,-y+1/2,-z'
'-x+1/2,y+1/2,-z'
'x+1/2,-y+1/2,z'
loop_
_atom_site_label
_atom_site_fract_x
_atom_site_fract_y
_atom_site_fract_z
Ca1 0.1277 0.0000 0.3724
Al1 0.0000 0.5000 0.5000
Al2 0.2500 0.2500 0.0000
Ir1 0.0000 0.5000 0.0000
```